# 1
Diffraction record for Pr3SmTm8. The powder XRD pattern is theoretical, not measured: it uses a GGA-PBE-relaxed structure and Cu Kα (λ = 1.5418 Å).

Peak list (8 most intense, 15 to 90 degrees two-theta, by angle)
index, Position (°2θ), intensity
0 0 4, 31.41, 52
1 3 2, 31.69, 100
2 0 2, 32.13, 68
0 4 2, 35.41, 22
2 2 2, 35.92, 44
3 3 2, 51.83, 22
2 6 0, 56.65, 20
2 6 4, 66.22, 24

Atomic structure:
Unit cell a=6.3913 b=11.3217 c=11.3913 alpha=90.00 beta=90.00 gamma=90.00
Space group Immm (No. 71)
Inequivalent atoms, fractional coordinates:
Pr  0.0000  0.0000  0.0000
Pr  0.0000  0.5000  0.2486
Sm  0.0000  0.0000  0.5000
Tm  0.0000  0.1721  0.2503
Tm  0.2492  0.2524  0.0000

# 2
Diffraction record for NdZnPSe. The powder XRD pattern is theoretical, not measured: it uses a GGA-PBE-relaxed structure and Cu Kα (λ = 1.5418 Å).

Peak list (8 most intense, 15 to 90 degrees two-theta, by angle)
index, Position (°2θ), intensity
1 0 1, 24.67, 36
0 1 5, 26.86, 35
1 0 7, 28.89, 100
0 1 8, 30.09, 38
1 0 10, 32.82, 75
1 0 13, 37.55, 52
1 1 0, 43.27, 97
0 1 17, 44.77, 44

Atomic structure:
Unit cell a=4.1824 b=4.1824 c=41.5024 alpha=90.00 beta=90.00 gamma=120.00
Space group R-3m (No. 166, hexagonal axes)
Inequivalent atoms, fractional coordinates:
Nd  0.0000  0.0000  0.0857
Zn  0.0000  0.0000  0.3111
P  0.0000  0.0000  0.3715
Se  0.0000  0.0000  0.2121

# 3
Diffraction record for MnFe3Mo2. The powder XRD pattern is theoretical, not measured: it uses a GGA-PBE-relaxed structure and Cu Kα (λ = 1.5418 Å).

Peak list (8 most intense, 15 to 90 degrees two-theta, by angle)
index, Position (°2θ), intensity
1 1 0, 38.20, 50
1 0 3, 41.51, 100
1 1 2, 45.09, 93
2 0 1, 46.01, 76
2 1 3, 71.30, 34
3 0 2, 73.87, 20
2 0 5, 77.58, 25
2 2 0, 81.74, 24

Atomic structure:
Unit cell a=4.7124 b=4.7124 c=7.7134 alpha=90.00 beta=90.00 gamma=120.00
Space group P6_3/mmc (No. 194)
Inequivalent atoms, fractional coordinates:
Mn  0.0000  0.0000  0.0000
Fe  0.1721  0.3442  0.2500
Mo  0.3333  0.6667  0.5695

# 4
Diffraction record for Al2TeSe4. The powder XRD pattern is theoretical, not measured: it uses a GGA-PBE-relaxed structure and Cu Kα (λ = 1.5418 Å).

Peak list (8 most intense, 15 to 90 degrees two-theta, by angle)
index, Position (°2θ), intensity
1 0 1, 17.92, 41
0 0 2, 27.81, 31
1 2 1, 29.20, 100
2 2 0, 32.56, 18
1 3 0, 36.53, 21
1 3 2, 46.53, 44
1 2 3, 50.07, 22
4 1 1, 50.42, 23

Atomic structure:
Unit cell a=7.7785 b=7.7785 c=6.4149 alpha=90.00 beta=90.00 gamma=90.00
Space group I4/m (No. 87)
Inequivalent atoms, fractional coordinates:
Al  0.0000  0.5000  0.2500
Te  0.0000  0.0000  0.0000
Se  0.1624  0.3292  0.0000

# 5
Diffraction record for NpCd2HO6. The powder XRD pattern is theoretical, not measured: it uses a GGA-PBE-relaxed structure and Cu Kα (λ = 1.5418 Å).

Peak list (8 most intense, 15 to 90 degrees two-theta, by angle)
index, Position (°2θ), intensity
0 1 1, 17.82, 22
1 0 1, 21.39, 100
1 1 2, 30.85, 100
0 2 0, 30.98, 37
0 1 3, 31.40, 54
1 2 1, 37.96, 48
1 1 4, 44.70, 25
2 1 3, 51.15, 46

Atomic structure:
Unit cell a=4.5843 b=5.7723 c=9.8274 alpha=90.00 beta=90.00 gamma=90.00
Space group Pnnm (No. 58)
Inequivalent atoms, fractional coordinates:
Np  0.0000  0.0000  0.0000
Cd  0.0000  0.5000  0.1743
H  0.0000  0.0000  0.5000
O  0.2192  0.1386  0.5000
O  0.2310  0.1339  0.1442

# 6
Diffraction record for Rb4DyU3Te8. The powder XRD pattern is theoretical, not measured: it uses a GGA-PBE-relaxed structure and Cu Kα (λ = 1.5418 Å).

Peak list (8 most intense, 15 to 90 degrees two-theta, by angle)
index, Position (°2θ), intensity
0 2 4, 26.57, 100
0 2 7, 33.32, 16
2 0 8, 36.02, 36
2 2 0, 39.76, 37
4 0 4, 48.46, 19
0 4 8, 54.72, 11
2 2 12, 59.19, 13
2 4 4, 64.41, 17

Atomic structure:
Unit cell a=9.0693 b=9.0693 c=25.8228 alpha=90.00 beta=90.00 gamma=120.00
Space group R-3m (No. 166, hexagonal axes)
Inequivalent atoms, fractional coordinates:
Rb  0.0000  0.0000  0.0000
Rb  0.0000  0.5000  0.0000
Dy  0.0000  0.0000  0.5000
U  0.0000  0.5000  0.5000
Te  0.0000  0.0000  0.2342
Te  0.0031  0.5016  0.2339